Entry 1:
Simulated X-ray diffraction stick pattern
Compound: Ca2ReRuO6
Radiation: Cu Kα
Structure: a DFT-relaxed cell (GGA-PBE, Alexandria)

Largest 12 diffraction maxima, in order of rising 2θ, 2θ = 10–90°:
2θ = 22.3°, I 35; 2θ = 22.5°, I 61; 2θ = 31.9°, I 100; 2θ = 32.1°, I 52; 2θ = 45.6°, I 15; 2θ = 46.0°, I 35; 2θ = 51.4°, I 18; 2θ = 51.8°, I 27; 2θ = 56.8°, I 18; 2θ = 57.1°, I 39; 2θ = 66.8°, I 18; 2θ = 76.3°, I 17

Crystal structure
```
Ca2ReRuO6
1.0
5.578 0.000 0.000
0.000 5.578 0.000
0.000 0.000 3.980
Ca Re Ru O
2 1 1 6
direct
0.000 0.500 0.000
0.500 0.000 0.000
0.000 0.000 0.575
0.500 0.500 0.577
0.000 0.000 0.081
0.246 0.246 0.601
0.246 0.754 0.601
0.500 0.500 0.081
0.754 0.246 0.601
0.754 0.754 0.601
```

=====

Entry 2:
Simulated X-ray diffraction stick pattern
Compound: Ti3Rh5Au
Radiation: Cu Kα
Structure: a DFT-relaxed cell (GGA-PBE, Alexandria)

Largest 12 diffraction maxima, in order of rising 2θ, 2θ = 10–90°:
2θ = 13.5°, I 12; 2θ = 23.5°, I 16; 2θ = 27.2°, I 4; 2θ = 28.7°, I 15; 2θ = 40.8°, I 100; 2θ = 41.3°, I 88; 2θ = 59.4°, I 32; 2θ = 68.8°, I 6; 2θ = 74.9°, I 32; 2θ = 75.3°, I 14; 2θ = 83.5°, I 22; 2θ = 89.7°, I 9

Crystal structure
```
Ti3Rh5Au
1.0
7.574 0.000 0.000
-3.787 6.559 0.000
0.000 0.000 5.459
Ti Rh Au
6 10 2
direct
0.000 0.351 0.250
0.000 0.649 0.750
0.351 0.000 0.250
0.351 0.351 0.750
0.649 0.000 0.750
0.649 0.649 0.250
0.000 0.328 0.750
0.000 0.672 0.250
0.328 0.000 0.750
0.328 0.328 0.250
0.333 0.667 0.000
0.333 0.667 0.500
0.667 0.333 0.000
0.667 0.333 0.500
0.672 0.000 0.250
0.672 0.672 0.750
0.000 0.000 0.000
0.000 0.000 0.500
```

=====

Entry 3:
Simulated X-ray diffraction stick pattern
Compound: La4Au
Radiation: Cu Kα
Structure: a DFT-relaxed cell (GGA-PBE, Alexandria)

Largest 12 diffraction maxima, in order of rising 2θ, 2θ = 10–90°:
2θ = 16.6°, I 9; 2θ = 20.1°, I 11; 2θ = 25.2°, I 8; 2θ = 28.5°, I 15; 2θ = 32.0°, I 8; 2θ = 32.4°, I 100; 2θ = 33.6°, I 27; 2θ = 35.1°, I 22; 2θ = 43.7°, I 10; 2θ = 49.4°, I 17; 2θ = 59.4°, I 18; 2θ = 61.3°, I 14

Crystal structure
```
La4Au
1.0
2.664 -6.262 0.000
2.664 6.262 0.000
0.000 0.000 10.224
La Au
8 2
direct
0.104 0.896 0.864
0.110 0.890 0.387
0.390 0.610 0.387
0.396 0.604 0.864
0.604 0.396 0.136
0.610 0.390 0.613
0.890 0.110 0.613
0.896 0.104 0.136
0.250 0.750 0.126
0.750 0.250 0.874
```

=====

Entry 4:
Simulated X-ray diffraction stick pattern
Compound: La2TlCd3
Radiation: Cu Kα
Structure: a DFT-relaxed cell (GGA-PBE, Alexandria)

Largest 12 diffraction maxima, in order of rising 2θ, 2θ = 10–90°:
2θ = 24.3°, I 8; 2θ = 31.7°, I 100; 2θ = 35.0°, I 86; 2θ = 43.1°, I 10; 2θ = 47.9°, I 31; 2θ = 49.9°, I 10; 2θ = 60.7°, I 30; 2θ = 62.4°, I 31; 2θ = 62.8°, I 15; 2θ = 73.9°, I 9; 2θ = 82.7°, I 13; 2θ = 84.1°, I 14

Crystal structure
```
La2TlCd3
1.0
0.000 5.126 8.888
3.657 0.000 8.888
3.657 5.126 0.000
La Tl Cd
4 2 6
direct
0.247 0.753 0.753
0.250 0.250 0.250
0.750 0.750 0.750
0.753 0.247 0.247
0.334 0.334 0.666
0.666 0.666 0.334
0.165 0.165 0.835
0.166 0.670 0.330
0.330 0.834 0.166
0.670 0.166 0.834
0.834 0.330 0.670
0.835 0.835 0.165
```

=====

Entry 5:
Simulated X-ray diffraction stick pattern
Compound: BaNpI2O8
Radiation: Cu Kα
Structure: a DFT-relaxed cell (GGA-PBE, Alexandria)

Largest 12 diffraction maxima, in order of rising 2θ, 2θ = 10–90°:
2θ = 12.0°, I 20; 2θ = 15.9°, I 59; 2θ = 20.0°, I 78; 2θ = 27.8°, I 100; 2θ = 29.0°, I 94; 2θ = 40.6°, I 46; 2θ = 44.8°, I 19; 2θ = 49.1°, I 21; 2θ = 49.9°, I 48; 2θ = 52.1°, I 16; 2θ = 57.4°, I 18; 2θ = 65.5°, I 20

Crystal structure
```
BaNpI2O8
1.0
6.426 0.000 0.000
-3.213 5.565 0.000
0.000 0.000 7.399
Ba Np I O
1 1 2 8
direct
0.000 0.000 0.000
0.000 0.000 0.500
0.333 0.667 0.301
0.667 0.333 0.699
0.152 0.305 0.309
0.152 0.848 0.309
0.305 0.152 0.691
0.333 0.667 0.058
0.667 0.333 0.942
0.695 0.848 0.309
0.848 0.152 0.691
0.848 0.695 0.691
```

=====

Entry 6:
Simulated X-ray diffraction stick pattern
Compound: Sn2Se2I
Radiation: Cu Kα
Structure: a DFT-relaxed cell (GGA-PBE, Alexandria)

Largest 12 diffraction maxima, in order of rising 2θ, 2θ = 10–90°:
2θ = 21.8°, I 51; 2θ = 29.3°, I 52; 2θ = 30.3°, I 100; 2θ = 40.8°, I 20; 2θ = 42.7°, I 75; 2θ = 43.4°, I 37; 2θ = 53.2°, I 39; 2θ = 63.0°, I 12; 2θ = 69.5°, I 16; 2θ = 71.0°, I 17; 2θ = 71.5°, I 17; 2θ = 79.1°, I 26

Crystal structure
```
Sn2Se2I
1.0
9.366 -2.086 0.000
9.366 2.086 0.000
-0.926 0.000 4.071
Sn Se I
2 2 1
direct
0.165 0.165 0.165
0.835 0.835 0.835
0.324 0.324 0.325
0.676 0.676 0.675
0.000 0.000 0.000
```

=====

Entry 7:
Simulated X-ray diffraction stick pattern
Compound: Ho4BeRh3
Radiation: Cu Kα
Structure: a DFT-relaxed cell (GGA-PBE, Alexandria)

Largest 12 diffraction maxima, in order of rising 2θ, 2θ = 10–90°:
2θ = 27.6°, I 26; 2θ = 33.0°, I 100; 2θ = 33.6°, I 29; 2θ = 34.1°, I 38; 2θ = 40.5°, I 18; 2θ = 41.0°, I 48; 2θ = 44.8°, I 23; 2θ = 46.7°, I 20; 2θ = 53.9°, I 12; 2θ = 57.1°, I 12; 2θ = 57.5°, I 17; 2θ = 66.7°, I 14

Crystal structure
```
Ho4BeRh3
1.0
3.892 0.000 0.000
0.000 4.048 0.000
0.000 0.000 10.682
Ho Be Rh
4 1 3
direct
0.000 0.000 0.000
0.000 0.500 0.276
0.500 0.000 0.491
0.500 0.500 0.779
0.000 0.000 0.691
0.000 0.500 0.583
0.500 0.000 0.228
0.500 0.500 0.044
```

=====

Entry 8:
Simulated X-ray diffraction stick pattern
Compound: Fe4Ru5
Radiation: Cu Kα
Structure: a DFT-relaxed cell (GGA-PBE, Alexandria)

Largest 12 diffraction maxima, in order of rising 2θ, 2θ = 10–90°:
2θ = 15.9°, I 8; 2θ = 22.5°, I 1; 2θ = 26.4°, I 1; 2θ = 32.0°, I 2; 2θ = 35.0°, I 5; 2θ = 42.0°, I 100; 2θ = 48.9°, I 47; 2θ = 51.7°, I 2; 2θ = 53.8°, I 1; 2θ = 59.6°, I 1; 2θ = 71.6°, I 29; 2θ = 86.7°, I 35

Crystal structure
```
Fe4Ru5
1.0
-3.953 3.953 1.863
3.953 -3.953 1.863
3.953 3.953 -1.863
Fe Ru
4 5
direct
0.000 0.333 0.333
0.000 0.667 0.667
0.333 0.000 0.333
0.667 0.000 0.667
0.000 0.000 0.000
0.332 0.332 0.665
0.332 0.668 0.000
0.668 0.332 0.000
0.668 0.668 0.335
```

=====

Entry 9:
Simulated X-ray diffraction stick pattern
Compound: LiUAsO6
Radiation: Cu Kα
Structure: a DFT-relaxed cell (GGA-PBE, Alexandria)

Largest 12 diffraction maxima, in order of rising 2θ, 2θ = 10–90°:
2θ = 17.9°, I 24; 2θ = 18.7°, I 100; 2θ = 18.9°, I 68; 2θ = 20.8°, I 84; 2θ = 21.3°, I 18; 2θ = 26.4°, I 53; 2θ = 29.3°, I 34; 2θ = 30.3°, I 22; 2θ = 31.0°, I 36; 2θ = 31.6°, I 16; 2θ = 33.4°, I 21; 2θ = 54.4°, I 20

Crystal structure
```
LiUAsO6
1.0
5.216 0.000 0.000
1.264 5.362 0.000
1.361 -0.092 9.932
Li U As O
2 2 2 12
direct
0.059 0.059 0.227
0.941 0.941 0.773
0.000 0.500 0.000
0.500 0.000 0.500
0.408 0.494 0.260
0.592 0.506 0.740
0.187 0.006 0.609
0.187 0.669 0.161
0.208 0.195 0.034
0.284 0.616 0.832
0.289 0.249 0.333
0.436 0.689 0.384
0.564 0.311 0.616
0.711 0.751 0.667
0.716 0.384 0.168
0.792 0.805 0.966
0.813 0.331 0.839
0.813 0.994 0.391
```

=====

Entry 10:
Simulated X-ray diffraction stick pattern
Compound: HfTi4Co2
Radiation: Cu Kα
Structure: a DFT-relaxed cell (GGA-PBE, Alexandria)

Largest 12 diffraction maxima, in order of rising 2θ, 2θ = 10–90°:
2θ = 12.9°, I 32; 2θ = 29.3°, I 20; 2θ = 31.9°, I 45; 2θ = 34.4°, I 22; 2θ = 37.0°, I 100; 2θ = 39.6°, I 25; 2θ = 44.3°, I 26; 2θ = 45.0°, I 25; 2θ = 45.7°, I 19; 2θ = 61.5°, I 18; 2θ = 65.0°, I 16; 2θ = 65.6°, I 15

Crystal structure
```
HfTi4Co2
1.0
2.044 -6.840 0.000
2.044 6.840 0.000
0.000 0.000 4.032
Hf Ti Co
1 4 2
direct
0.000 0.000 0.000
0.180 0.820 0.500
0.324 0.676 0.000
0.676 0.324 0.000
0.820 0.180 0.500
0.419 0.581 0.500
0.581 0.419 0.500
```

=====

Entry 11:
Simulated X-ray diffraction stick pattern
Compound: Li2Ca2SbO6
Radiation: Cu Kα
Structure: a DFT-relaxed cell (GGA-PBE, Alexandria)

Largest 12 diffraction maxima, in order of rising 2θ, 2θ = 10–90°:
2θ = 16.6°, I 8; 2θ = 19.3°, I 23; 2θ = 25.6°, I 100; 2θ = 33.8°, I 26; 2θ = 37.9°, I 11; 2θ = 42.9°, I 23; 2θ = 48.5°, I 44; 2θ = 55.5°, I 10; 2θ = 55.7°, I 21; 2θ = 60.5°, I 14; 2θ = 76.8°, I 8; 2θ = 81.1°, I 8

Crystal structure
```
Li2Ca2SbO6
1.0
5.298 0.000 0.000
-2.649 4.588 0.000
0.000 0.000 5.326
Li Ca Sb O
2 2 1 6
direct
0.333 0.667 0.000
0.667 0.333 0.000
0.333 0.667 0.500
0.667 0.333 0.500
0.000 0.000 0.000
0.000 0.317 0.215
0.000 0.683 0.785
0.317 0.000 0.215
0.317 0.317 0.785
0.683 0.000 0.785
0.683 0.683 0.215
```

=====

Entry 12:
Simulated X-ray diffraction stick pattern
Compound: Nd2DyGa4Pd3
Radiation: Cu Kα
Structure: a DFT-relaxed cell (GGA-PBE, Alexandria)

Largest 12 diffraction maxima, in order of rising 2θ, 2θ = 10–90°:
2θ = 30.7°, I 14; 2θ = 31.1°, I 38; 2θ = 33.5°, I 100; 2θ = 37.2°, I 13; 2θ = 42.5°, I 51; 2θ = 43.1°, I 18; 2θ = 44.1°, I 18; 2θ = 51.4°, I 10; 2θ = 53.6°, I 16; 2θ = 61.7°, I 17; 2θ = 62.9°, I 12; 2θ = 72.1°, I 21

Crystal structure
```
Nd2DyGa4Pd3
1.0
4.250 0.000 0.000
0.000 4.250 0.000
0.000 0.000 11.733
Nd Dy Ga Pd
2 1 4 3
direct
0.000 0.500 0.226
0.500 0.000 0.774
0.000 0.000 0.500
0.000 0.000 0.000
0.000 0.500 0.668
0.500 0.000 0.332
0.500 0.500 0.000
0.000 0.500 0.878
0.500 0.000 0.122
0.500 0.500 0.500
```